Entry 1:
This entry pairs a crystal structure of Ce5ErSn6 with its theoretical X-ray powder pattern. Radiation: Cu Kα X-rays. Structure: a structure optimized by DFT (GGA-PBE).
Intensities are scaled so that the largest is 100.

Most intense lines, 2θ = 15–90°, in order of rising 2θ:
d 2.759, I 100.0
d 2.747, I 98.8
d 2.466, I 73.4
d 2.242, I 28.0
d 1.750, I 13.2
d 1.738, I 12.9
d 1.659, I 44.4
d 1.476, I 30.3
d 1.470, I 30.0
d 1.374, I 35.9

Unit cell a=4.931 b=8.969 c=7.785 alpha=90.00 beta=108.05 gamma=90.00
Atoms (fractional coordinates):
Ce  0.000  0.000  0.000
Ce  0.333  0.000  0.666
Ce  0.334  0.500  0.667
Ce  0.666  0.500  0.333
Ce  0.667  0.000  0.334
Er  0.000  0.500  0.000
Sn  0.164  0.252  0.329
Sn  0.164  0.748  0.329
Sn  0.500  0.254  0.000
Sn  0.500  0.746  0.000
Sn  0.836  0.252  0.671
Sn  0.836  0.748  0.671

Entry 2:
This entry pairs a crystal structure of Ce5ErSn5 with its theoretical X-ray powder pattern. Radiation: Cu Kα X-rays. Structure: a structure optimized by DFT (GGA-PBE).
Intensities are scaled so that the largest is 100.

Most intense lines, 2θ = 15–90°, in order of rising 2θ:
d 3.152, I 50.8
d 3.134, I 100.0
d 2.257, I 20.3
d 2.222, I 77.8
d 2.178, I 18.5
d 1.835, I 21.9
d 1.792, I 20.3
d 1.408, I 18.6
d 1.404, I 9.3
d 1.111, I 9.2

Unit cell a=7.782 b=7.782 c=8.712 alpha=106.34 beta=106.34 gamma=47.78
Atoms (fractional coordinates):
Ce  0.000  0.000  0.000
Ce  0.334  0.334  0.166
Ce  0.336  0.336  0.670
Ce  0.664  0.664  0.330
Ce  0.666  0.666  0.834
Er  0.000  0.000  0.500
Sn  0.165  0.165  0.833
Sn  0.167  0.167  0.333
Sn  0.500  0.500  0.500
Sn  0.833  0.833  0.667
Sn  0.835  0.835  0.167

Entry 3:
This entry pairs a crystal structure of Tb9Ce4Er11 with its theoretical X-ray powder pattern. Radiation: Cu Kα X-rays. Structure: a structure optimized by DFT (GGA-PBE).
Intensities are scaled so that the largest is 100.

Most intense lines, 2θ = 15–90°, in order of rising 2θ:
d 2.935, I 70.1
d 2.911, I 7.3
d 2.858, I 14.0
d 2.739, I 100.0
d 2.726, I 8.9
d 2.701, I 7.5
d 1.823, I 12.3
d 1.653, I 10.3
d 1.548, I 16.4
d 1.166, I 7.2

Unit cell a=14.951 b=14.951 c=3.646 alpha=90.00 beta=90.00 gamma=112.54
Atoms (fractional coordinates):
Tb  0.000  0.000  0.000
Tb  0.134  0.661  0.000
Tb  0.286  0.432  0.000
Tb  0.339  0.866  0.000
Tb  0.432  0.286  0.000
Tb  0.568  0.714  0.000
Tb  0.661  0.134  0.000
Tb  0.714  0.568  0.000
Tb  0.866  0.339  0.000
Ce  0.053  0.250  0.000
Ce  0.250  0.053  0.000
Ce  0.750  0.947  0.000
Ce  0.947  0.750  0.000
Er  0.091  0.452  0.500
Er  0.138  0.862  0.500
Er  0.214  0.214  0.500
Er  0.342  0.658  0.500
Er  0.452  0.091  0.500
Er  0.500  0.500  0.500
Er  0.548  0.909  0.500
Er  0.658  0.342  0.500
Er  0.786  0.786  0.500
Er  0.862  0.138  0.500
Er  0.909  0.548  0.500

Entry 4:
This entry pairs a crystal structure of Tb7CeEr2 with its theoretical X-ray powder pattern. Radiation: Cu Kα X-rays. Structure: a structure optimized by DFT (GGA-PBE).
Intensities are scaled so that the largest is 100.

Most intense lines, 2θ = 15–90°, in order of rising 2θ:
d 5.498, I 46.0
d 3.292, I 23.0
d 2.993, I 43.3
d 2.749, I 47.0
d 2.685, I 100.0
d 2.542, I 54.3
d 2.025, I 28.7
d 1.575, I 21.8
d 1.490, I 20.0
d 1.485, I 21.8

Unit cell a=9.308 b=9.308 c=5.498 alpha=90.00 beta=90.00 gamma=124.03
Atoms (fractional coordinates):
Tb  0.000  0.000  0.000
Tb  0.210  0.436  0.000
Tb  0.291  0.709  0.500
Tb  0.436  0.210  0.000
Tb  0.564  0.790  0.000
Tb  0.709  0.291  0.500
Tb  0.790  0.564  0.000
Ce  0.500  0.500  0.500
Er  0.204  0.796  0.000
Er  0.796  0.204  0.000

Entry 5:
This entry pairs a crystal structure of Tb8CeEr6 with its theoretical X-ray powder pattern. Radiation: Cu Kα X-rays. Structure: a structure optimized by DFT (GGA-PBE).
Intensities are scaled so that the largest is 100.

Most intense lines, 2θ = 15–90°, in order of rising 2θ:
d 2.980, I 100.0
d 2.920, I 24.7
d 2.795, I 13.0
d 2.568, I 49.1
d 2.521, I 27.3
d 2.500, I 19.6
d 1.830, I 17.5
d 1.802, I 16.6
d 1.550, I 11.1
d 1.533, I 12.9

Unit cell a=8.084 b=8.084 c=8.084 alpha=73.58 beta=73.58 gamma=73.58
Atoms (fractional coordinates):
Tb  0.088  0.088  0.088
Tb  0.147  0.272  0.570
Tb  0.272  0.570  0.147
Tb  0.430  0.853  0.728
Tb  0.570  0.147  0.272
Tb  0.728  0.430  0.853
Tb  0.853  0.728  0.430
Tb  0.912  0.912  0.912
Ce  0.500  0.500  0.500
Er  0.116  0.569  0.786
Er  0.214  0.884  0.431
Er  0.431  0.214  0.884
Er  0.569  0.786  0.116
Er  0.786  0.116  0.569
Er  0.884  0.431  0.214

Entry 6:
This entry pairs a crystal structure of TbCe2Er with its theoretical X-ray powder pattern. Radiation: Cu Kα X-rays. Structure: a structure optimized by DFT (GGA-PBE).
Intensities are scaled so that the largest is 100.

Most intense lines, 2θ = 15–90°, in order of rising 2θ:
d 3.183, I 11.0
d 2.939, I 12.7
d 2.851, I 31.7
d 2.814, I 100.0
d 2.779, I 15.0
d 2.730, I 21.1
d 2.603, I 14.6
d 2.261, I 12.0
d 1.798, I 15.0
d 1.407, I 9.3

Unit cell a=6.557 b=6.557 c=6.372 alpha=91.14 beta=91.14 gamma=120.82
Atoms (fractional coordinates):
Tb  0.000  0.000  0.000
Tb  0.000  0.000  0.500
Ce  0.049  0.515  0.714
Ce  0.485  0.951  0.786
Ce  0.515  0.049  0.214
Ce  0.951  0.485  0.286
Er  0.462  0.538  0.250
Er  0.538  0.462  0.750

Entry 7:
This entry pairs a crystal structure of Tb6Ce2Er with its theoretical X-ray powder pattern. Radiation: Cu Kα X-rays. Structure: a structure optimized by DFT (GGA-PBE).
Intensities are scaled so that the largest is 100.

Most intense lines, 2θ = 15–90°, in order of rising 2θ:
d 2.890, I 100.0
d 2.506, I 33.8
d 2.497, I 16.7
d 1.771, I 23.9
d 1.768, I 11.9
d 1.511, I 28.3
d 1.506, I 14.1
d 1.445, I 12.2
d 1.150, I 5.9
d 1.148, I 11.7

Unit cell a=10.616 b=7.930 c=7.897 alpha=84.26 beta=48.00 gamma=47.74
Atoms (fractional coordinates):
Tb  0.165  0.165  0.835
Tb  0.169  0.502  0.498
Tb  0.498  0.831  0.169
Tb  0.502  0.169  0.831
Tb  0.831  0.498  0.502
Tb  0.835  0.835  0.165
Ce  0.170  0.830  0.170
Ce  0.830  0.170  0.830
Er  0.500  0.500  0.500

Entry 8:
This entry pairs a crystal structure of Tb6CeEr with its theoretical X-ray powder pattern. Radiation: Cu Kα X-rays. Structure: a structure optimized by DFT (GGA-PBE).
Intensities are scaled so that the largest is 100.

Most intense lines, 2θ = 15–90°, in order of rising 2θ:
d 2.898, I 100.0
d 2.510, I 50.6
d 1.775, I 36.0
d 1.513, I 42.7
d 1.449, I 12.3
d 1.255, I 5.7
d 1.152, I 17.8
d 1.122, I 16.6

Unit cell a=5.021 b=5.021 c=10.033 alpha=90.00 beta=90.00 gamma=90.00
Atoms (fractional coordinates):
Tb  0.000  0.000  0.000
Tb  0.000  0.000  0.500
Tb  0.000  0.500  0.249
Tb  0.000  0.500  0.751
Tb  0.500  0.000  0.249
Tb  0.500  0.000  0.751
Ce  0.500  0.500  0.000
Er  0.500  0.500  0.500

Q: Which formula does entry 4 have?
A: Tb7CeEr2

Copy entry 5 word for word.
This entry pairs a crystal structure of Tb8CeEr6 with its theoretical X-ray powder pattern. Radiation: Cu Kα X-rays. Structure: a structure optimized by DFT (GGA-PBE).
Intensities are scaled so that the largest is 100.

Most intense lines, 2θ = 15–90°, in order of rising 2θ:
d 2.980, I 100.0
d 2.920, I 24.7
d 2.795, I 13.0
d 2.568, I 49.1
d 2.521, I 27.3
d 2.500, I 19.6
d 1.830, I 17.5
d 1.802, I 16.6
d 1.550, I 11.1
d 1.533, I 12.9

Unit cell a=8.084 b=8.084 c=8.084 alpha=73.58 beta=73.58 gamma=73.58
Atoms (fractional coordinates):
Tb  0.088  0.088  0.088
Tb  0.147  0.272  0.570
Tb  0.272  0.570  0.147
Tb  0.430  0.853  0.728
Tb  0.570  0.147  0.272
Tb  0.728  0.430  0.853
Tb  0.853  0.728  0.430
Tb  0.912  0.912  0.912
Ce  0.500  0.500  0.500
Er  0.116  0.569  0.786
Er  0.214  0.884  0.431
Er  0.431  0.214  0.884
Er  0.569  0.786  0.116
Er  0.786  0.116  0.569
Er  0.884  0.431  0.214